The following is a computed powder diffraction line list of Nb2GaCo3. It was derived from DFT lattice parameters and positions (GGA-PBE), using Cu Ka.
Kinematic intensities with the Lorentz-polarization factor, no thermal factor.

Most intense lines, 2θ = 10–90°, in order of rising 2θ:
| (hkl) | d (Å) | I_rel |
| --- | --- | --- |
| 1 1 0 | 2.458 | 46 |
| 1 0 3 | 2.190 | 67 |
| 2 0 0 | 2.129 | 9 |
| 1 1 2 | 2.069 | 100 |
| 2 0 1 | 2.051 | 62 |
| 0 0 4 | 1.916 | 13 |
| 2 1 3 | 1.361 | 24 |
| 3 0 2 | 1.331 | 23 |
| 2 0 5 | 1.244 | 23 |
| 2 2 0 | 1.229 | 22 |

```
data_Nb2GaCo3
_cell_length_a 4.9159
_cell_length_b 4.9159
_cell_length_c 7.6626
_cell_angle_alpha 90.00
_cell_angle_beta 90.00
_cell_angle_gamma 120.00
_symmetry_space_group_name_H-M 'P 63/m m c'
_symmetry_Int_Tables_number 194
_symmetry_space_group_name_Hall '-P 6c 2c'
loop_
_atom_site_label
_atom_site_type_symbol
_atom_site_fract_x
_atom_site_fract_y
_atom_site_fract_z
Nb1 Nb 0.3333 0.6667 0.0590
Ga1 Ga 0.0000 0.0000 0.0000
Co1 Co 0.1730 0.3459 0.7500
```